# YbCuSb
Simulated XRD peak list, Cu Kα X-rays. Input: a cell relaxed with GGA-PBE.
Peak positions follow from Bragg's law for the DFT cell and can differ from measured ones.

Structural model:
Lattice parameters (Å, degrees): 4.485 4.485 7.835 90.00 90.00 120.00
Atoms (fractional coordinates):
1 Yb 0.000 0.000 0.000
2 Yb 0.000 0.000 0.500
3 Cu 0.333 0.667 0.276
4 Cu 0.667 0.333 0.776
5 Sb 0.333 0.667 0.741
6 Sb 0.667 0.333 0.241

Most intense lines, 2θ from 10° to 80°, sorted by position:
22.9 deg, intensity 10, hkl 1 0 0; 25.6 deg, intensity 6, hkl 1 0 1; 32.5 deg, intensity 100, hkl 1 0 2; 40.2 deg, intensity 52, hkl 1 1 0; 46.4 deg, intensity 10, hkl 0 0 4; 52.6 deg, intensity 25, hkl 2 0 2; 63.0 deg, intensity 25, hkl 1 1 4; 68.2 deg, intensity 23, hkl 2 1 2; 73.1 deg, intensity 9, hkl 3 0 0; 77.0 deg, intensity 7, hkl 1 0 6